Diffraction record for ZrAl3Ga2. The powder XRD pattern is simulated, not measured: it uses a structure optimized by DFT (PBE) and λ = 1.5418 Å (Cu Kα).
Kinematic intensities with the Lorentz-polarization factor, no thermal factor.

Structural model:
```
data_ZrAl3Ga2
_space_group_name_H-M_alt 'C 1 2/c 1'
_space_group_IT_number 15
_space_group_name_Hall '-C 2yc'
_cell_length_a 5.6509
_cell_length_b 9.3597
_cell_length_c 7.8637
_cell_angle_alpha 90.00
_cell_angle_beta 90.43
_cell_angle_gamma 90.00
loop_
_atom_site_label
_atom_site_fract_x
_atom_site_fract_y
_atom_site_fract_z
Zr1 0.0000 0.1314 0.2500
Al1 0.0000 0.3833 0.7500
Al2 0.2494 0.3736 0.0844
Ga1 0.2436 0.3756 0.4176
```

Most intense lines, 2θ = 10–80°, most intense first:
d_spacing  2θ/deg  I/Imax  hkl
2.287  39.40  100  0 2 3
2.306  39.06  65  2 0 -2
4.132  21.50  45  1 1 -1
2.340  38.47  44  0 4 0
2.316  38.89  38  2 2 -1
3.041  29.37  18  1 1 2
1.341  70.21  15  0 6 3
1.641  56.03  15  2 4 -2
1.345  69.92  13  2 6 1
1.635  56.25  12  2 4 2
2.583  34.73  11  1 3 -1
1.209  79.21  11  4 4 0

Diffraction record for Ba4NaAg2. The powder XRD pattern is simulated, not measured: it uses a structure optimized by DFT (PBE) and λ = 1.5418 Å (Cu Kα).
Kinematic intensities with the Lorentz-polarization factor, no thermal factor.

Structural model:
```
data_Ba4NaAg2
_space_group_name_H-M_alt 'R -3 m'
_space_group_IT_number 166
_space_group_name_Hall '-R 3 2"'
_cell_length_a 5.7789
_cell_length_b 5.7789
_cell_length_c 32.8234
_cell_angle_alpha 90.00
_cell_angle_beta 90.00
_cell_angle_gamma 120.00
loop_
_atom_site_label
_atom_site_fract_x
_atom_site_fract_y
_atom_site_fract_z
Ba1 0.0000 0.0000 0.1120
Ba2 0.0000 0.0000 0.2967
Na1 0.0000 0.0000 0.5000
Ag1 0.0000 0.0000 0.4045
```

Most intense lines, 2θ = 10–80°, most intense first:
d_spacing  2θ/deg  I/Imax  hkl
2.889  30.95  100  1 1 0
2.745  32.63  69  1 0 10
4.273  20.79  38  1 0 4
3.422  26.04  36  1 0 7
3.980  22.34  35  0 1 5
1.989  45.60  32  0 2 10
1.639  56.12  28  2 1 10
1.668  55.05  19  3 0 0
5.471  16.20  17  0 0 6
1.801  50.68  15  0 1 17
2.555  35.12  15  1 1 6
1.278  74.18  14  1 3 10

Diffraction record for AsIrW. The powder XRD pattern is simulated, not measured: it uses a structure optimized by DFT (PBE) and λ = 1.5418 Å (Cu Kα).
Kinematic intensities with the Lorentz-polarization factor, no thermal factor.

Structural model:
```
data_AsIrW
_space_group_name_H-M_alt 'A m m 2'
_space_group_IT_number 38
_space_group_name_Hall 'A 2 -2'
_cell_length_a 13.0191
_cell_length_b 2.8898
_cell_length_c 5.0130
_cell_angle_alpha 90.00
_cell_angle_beta 90.00
_cell_angle_gamma 90.00
loop_
_atom_site_label
_atom_site_fract_x
_atom_site_fract_y
_atom_site_fract_z
As1 0.1601 0.0000 0.0000
Ir1 0.3375 0.0000 0.6588
W1 0.0000 0.0000 0.3317
W2 0.5000 0.0000 0.3259
```

Most intense lines, 2θ = 10–80°, most intense first:
d_spacing  2θ/deg  I/Imax  hkl
2.169  41.63  100  6 0 0
2.338  38.51  84  2 0 2
1.985  45.71  62  4 0 2
1.446  64.43  32  0 2 0
1.204  79.65  26  6 1 3
2.460  36.53  25  1 0 2
1.203  79.73  17  6 2 0
4.340  20.47  14  3 0 0
1.365  68.80  13  8 0 2
6.510  13.60  11  2 0 0
1.253  75.97  11  9 1 1
2.504  35.86  10  0 1 1

Diffraction record for TaO2. The powder XRD pattern is simulated, not measured: it uses a structure optimized by DFT (PBE) and λ = 1.5418 Å (Cu Kα).
Kinematic intensities with the Lorentz-polarization factor, no thermal factor.

Structural model:
```
data_TaO2
_space_group_name_H-M_alt 'I 41/a'
_space_group_IT_number 88
_cell_length_a 13.8259
_cell_length_b 13.8259
_cell_length_c 6.0217
_cell_angle_alpha 90.00
_cell_angle_beta 90.00
_cell_angle_gamma 90.00
loop_
_space_group_symop_operation_xyz
'x,y,z'
'-x,-y,-z'
'-y+3/4,x+1/4,z+1/4'
'y+3/4,-x+1/4,-z+1/4'
'-x+1/2,-y,z+1/2'
'x+1/2,y,-z+1/2'
'y+3/4,-x+3/4,z+3/4'
'-y+3/4,x+3/4,-z+3/4'
'x+1/2,y+1/2,z+1/2'
'-x+1/2,-y+1/2,-z+1/2'
'-y+1/4,x+3/4,z+3/4'
'y+1/4,-x+3/4,-z+3/4'
'-x,-y+1/2,z'
'x,y+1/2,-z'
'y+1/4,-x+1/4,z+1/4'
'-y+1/4,x+1/4,-z+1/4'
loop_
_atom_site_label
_atom_site_fract_x
_atom_site_fract_y
_atom_site_fract_z
Ta1 0.1144 0.3768 0.4749
Ta2 0.1249 0.1180 0.2243
O1 0.0130 0.1267 0.9838
O2 0.0273 0.1235 0.5065
O3 0.1246 0.4761 0.7493
O4 0.1257 0.4878 0.2557
```

Most intense lines, 2θ = 10–80°, most intense first:
d_spacing  2θ/deg  I/Imax  hkl
3.456  25.77  100  4 0 0
2.564  35.00  74  2 2 2
1.769  51.67  55  6 2 2
2.444  36.77  26  4 4 0
1.546  59.83  16  8 4 0
1.728  52.98  16  8 0 0
1.433  65.09  15  6 6 2
1.236  77.16  12  10 2 2
1.380  67.91  9  4 0 4
1.505  61.61  5  0 0 4
1.282  73.95  5  4 4 4
1.222  78.22  4  8 8 0

Copy entry 4 word for word.
Diffraction record for TaO2. The powder XRD pattern is simulated, not measured: it uses a structure optimized by DFT (PBE) and λ = 1.5418 Å (Cu Kα).
Kinematic intensities with the Lorentz-polarization factor, no thermal factor.

Structural model:
```
data_TaO2
_space_group_name_H-M_alt 'I 41/a'
_space_group_IT_number 88
_cell_length_a 13.8259
_cell_length_b 13.8259
_cell_length_c 6.0217
_cell_angle_alpha 90.00
_cell_angle_beta 90.00
_cell_angle_gamma 90.00
loop_
_space_group_symop_operation_xyz
'x,y,z'
'-x,-y,-z'
'-y+3/4,x+1/4,z+1/4'
'y+3/4,-x+1/4,-z+1/4'
'-x+1/2,-y,z+1/2'
'x+1/2,y,-z+1/2'
'y+3/4,-x+3/4,z+3/4'
'-y+3/4,x+3/4,-z+3/4'
'x+1/2,y+1/2,z+1/2'
'-x+1/2,-y+1/2,-z+1/2'
'-y+1/4,x+3/4,z+3/4'
'y+1/4,-x+3/4,-z+3/4'
'-x,-y+1/2,z'
'x,y+1/2,-z'
'y+1/4,-x+1/4,z+1/4'
'-y+1/4,x+1/4,-z+1/4'
loop_
_atom_site_label
_atom_site_fract_x
_atom_site_fract_y
_atom_site_fract_z
Ta1 0.1144 0.3768 0.4749
Ta2 0.1249 0.1180 0.2243
O1 0.0130 0.1267 0.9838
O2 0.0273 0.1235 0.5065
O3 0.1246 0.4761 0.7493
O4 0.1257 0.4878 0.2557
```

Most intense lines, 2θ = 10–80°, most intense first:
d_spacing  2θ/deg  I/Imax  hkl
3.456  25.77  100  4 0 0
2.564  35.00  74  2 2 2
1.769  51.67  55  6 2 2
2.444  36.77  26  4 4 0
1.546  59.83  16  8 4 0
1.728  52.98  16  8 0 0
1.433  65.09  15  6 6 2
1.236  77.16  12  10 2 2
1.380  67.91  9  4 0 4
1.505  61.61  5  0 0 4
1.282  73.95  5  4 4 4
1.222  78.22  4  8 8 0